Structure and theoretical powder XRD pattern of Li7Mn5O12 (a crystal structure in the Materials Project, relaxed with GGA+U; a wavelength of 1.5418 Å).

Cell and atoms:
Cell: 6.9218 8.1957 8.7639 Å, 104.30 99.91 107.34°
Fractional positions:
Li1 0.0000 0.0000 0.0000
Li2 0.0794 0.3376 0.2551
Li3 0.1719 0.6634 0.5114
Li4 0.2304 0.9947 0.7562
Li5 0.2462 0.5020 0.7503
Li6 0.3285 0.3387 0.9972
Li7 0.3941 0.6545 0.2488
Li8 0.5000 0.0000 0.5000
Li9 0.6059 0.3455 0.7512
Li10 0.6715 0.6613 0.0028
Li11 0.7538 0.4980 0.2497
Li12 0.7696 0.0053 0.2438
Li13 0.8281 0.3366 0.4886
Li14 0.9206 0.6624 0.7449
Mn1 0.0000 0.5000 0.0000
Mn2 0.0770 0.8310 0.2521
Mn3 0.1712 0.1708 0.5022
Mn4 0.3253 0.8298 0.9955
Mn5 0.4250 0.1737 0.2492
Mn6 0.5000 0.5000 0.5000
Mn7 0.5750 0.8263 0.7508
Mn8 0.6747 0.1702 0.0045
Mn9 0.8288 0.8292 0.4978
Mn10 0.9230 0.1690 0.7479
O1 0.0109 0.2630 0.9866
O2 0.0799 0.5930 0.2378
O3 0.0846 0.0712 0.2602
O4 0.1705 0.9239 0.4871
O5 0.1997 0.4126 0.4984
O6 0.2128 0.2361 0.7373
O7 0.2500 0.7586 0.7632
O8 0.2989 0.5880 0.0021
O9 0.3350 0.0804 0.0113
O10 0.3790 0.9159 0.2407
O11 0.4214 0.4137 0.2631
O12 0.4929 0.7364 0.5095
O13 0.5071 0.2636 0.4905
O14 0.5786 0.5863 0.7369
O15 0.6210 0.0841 0.7593
O16 0.6650 0.9196 0.9887
O17 0.7011 0.4120 0.9979
O18 0.7500 0.2414 0.2368
O19 0.7872 0.7639 0.2627
O20 0.8003 0.5874 0.5016
O21 0.8295 0.0761 0.5129
O22 0.9154 0.9288 0.7398
O23 0.9201 0.4070 0.7622
O24 0.9891 0.7370 0.0134

Largest 10 diffraction maxima, low angle first, 2θ from 10° to 90°:
| Position (°2θ) | Rel. int. |
| --- | --- |
| 18.26 | 100 |
| 34.14 | 16 |
| 36.28 | 23 |
| 40.98 | 34 |
| 44.23 | 55 |
| 61.67 | 9 |
| 61.78 | 8 |
| 61.93 | 8 |
| 62.11 | 8 |
| 63.80 | 10 |

---

Structure and theoretical powder XRD pattern of LiCrW2O8 (a crystal structure in the Materials Project, relaxed with GGA+U; a wavelength of 1.5418 Å).

Cell and atoms:
Cell: 7.4224 7.4224 5.0219 Å, 90.58 90.58 101.53°
Fractional positions:
Li1 0.1621 0.8379 0.7500
Li2 0.8379 0.1621 0.2500
Cr1 0.3241 0.6759 0.2500
Cr2 0.6759 0.3241 0.7500
W1 0.1634 0.3388 0.7443
W2 0.3388 0.1634 0.2443
W3 0.6612 0.8366 0.7557
W4 0.8366 0.6612 0.2557
O1 0.0712 0.6824 0.3896
O2 0.0975 0.1953 0.0569
O3 0.1953 0.0975 0.5569
O4 0.2014 0.5647 0.9134
O5 0.3039 0.4243 0.4194
O6 0.3176 0.9288 0.1104
O7 0.4243 0.3039 0.9194
O8 0.4353 0.7986 0.5866
O9 0.5647 0.2014 0.4134
O10 0.5757 0.6961 0.0806
O11 0.6824 0.0712 0.8896
O12 0.6961 0.5757 0.5806
O13 0.7986 0.4353 0.0866
O14 0.8047 0.9025 0.4431
O15 0.9025 0.8047 0.9431
O16 0.9288 0.3176 0.6104

Largest 10 diffraction maxima, low angle first, 2θ from 10° to 90°:
| Position (°2θ) | Rel. int. |
| --- | --- |
| 15.41 | 29 |
| 18.91 | 100 |
| 23.52 | 99 |
| 24.48 | 52 |
| 30.17 | 90 |
| 30.53 | 86 |
| 36.00 | 33 |
| 41.10 | 39 |
| 53.86 | 37 |
| 64.45 | 28 |

---

Structure and theoretical powder XRD pattern of Li9Mn2Co5O16 (a crystal structure in the Materials Project, relaxed with GGA+U; a wavelength of 1.5418 Å).

Cell and atoms:
Cell: 5.1274 5.1274 20.7350 Å, 98.22 98.22 32.57°
Fractional positions:
Li1 0.0000 0.0000 0.0000
Li2 0.0058 0.0058 0.4992
Li3 0.0104 0.0104 0.2497
Li4 0.0160 0.0160 0.7566
Li5 0.2599 0.2599 0.9404
Li6 0.4997 0.4997 0.1299
Li7 0.5045 0.5045 0.3799
Li8 0.5097 0.5097 0.6331
Li9 0.5103 0.5103 0.8863
Mn1 0.7577 0.7577 0.5668
Mn2 0.7648 0.7648 0.8230
Co1 0.2554 0.2554 0.4387
Co2 0.2592 0.2592 0.1898
Co3 0.2660 0.2660 0.6953
Co4 0.7450 0.7450 0.0565
Co5 0.7574 0.7574 0.3149
O1 0.1481 0.1481 0.5998
O2 0.1491 0.1491 0.3449
O3 0.1502 0.1502 0.8451
O4 0.1518 0.1518 0.0967
O5 0.3644 0.3644 0.0393
O6 0.3661 0.3661 0.2860
O7 0.3688 0.3688 0.5361
O8 0.3723 0.3723 0.7890
O9 0.6328 0.6328 0.9792
O10 0.6359 0.6359 0.4684
O11 0.6394 0.6394 0.2196
O12 0.6528 0.6528 0.7280
O13 0.8749 0.8749 0.9026
O14 0.8760 0.8760 0.4110
O15 0.8766 0.8766 0.1621
O16 0.8821 0.8821 0.6667

Largest 10 diffraction maxima, low angle first, 2θ from 10° to 90°:
| Position (°2θ) | Rel. int. |
| --- | --- |
| 18.23 | 100 |
| 35.01 | 15 |
| 36.33 | 25 |
| 42.23 | 29 |
| 43.99 | 53 |
| 47.40 | 9 |
| 57.80 | 9 |
| 62.49 | 14 |
| 62.75 | 14 |
| 64.84 | 7 |

---

Structure and theoretical powder XRD pattern of LiNi4O5 (a crystal structure in the Materials Project, relaxed with GGA+U; a wavelength of 1.5418 Å).

Cell and atoms:
Cell: 5.1015 5.1015 5.1015 Å, 99.60 99.60 131.80°
Fractional positions:
Li1 0.0000 0.0000 0.0000
Ni1 0.2035 0.6012 0.8047
Ni2 0.3988 0.2035 0.6024
Ni3 0.6012 0.7965 0.3976
Ni4 0.7965 0.3988 0.1953
O1 0.1029 0.3090 0.4119
O2 0.3090 0.8971 0.2062
O3 0.5000 0.5000 0.0000
O4 0.6910 0.1029 0.7938
O5 0.8971 0.6910 0.5881

Largest 10 diffraction maxima, low angle first, 2θ from 10° to 90°:
| Position (°2θ) | Rel. int. |
| --- | --- |
| 19.06 | 16 |
| 25.30 | 20 |
| 27.08 | 8 |
| 37.39 | 64 |
| 43.45 | 100 |
| 54.88 | 4 |
| 62.25 | 3 |
| 63.13 | 57 |
| 75.73 | 25 |
| 79.75 | 18 |